Entry 1:
Calculated powder X-ray diffraction pattern
Compound: TaRuRh4
Radiation: Cu Kα X-rays
Structure: DFT lattice parameters and positions (PBE)
Intensities are scaled so that the largest is 100.

Structure:
Cell lengths 5.0638, 5.0638, 5.0638 Å; angles 60.00, 60.00, 60.00 degrees
Fractional positions:
1 Ta 0.0000 0.0000 0.0000
2 Ru 0.7500 0.7500 0.7500
3 Rh 0.3756 0.3756 0.3756
4 Rh 0.3756 0.3756 0.8733
5 Rh 0.3756 0.8733 0.3756
6 Rh 0.8733 0.3756 0.3756

The 10 most intense peaks (2θ from 10° to 80°), in order of rising 2θ:
Position (°2θ)	d [Å]	intensity
21.49	4.135	3
24.87	3.581	3
35.45	2.532	37
41.84	2.159	100
43.79	2.067	31
51.01	1.790	2
57.56	1.601	1
63.66	1.462	13
68.02	1.378	31
75.03	1.266	25

Entry 2:
Calculated powder X-ray diffraction pattern
Compound: Tb8RuRh2
Radiation: Cu Kα X-rays
Structure: DFT lattice parameters and positions (PBE)
Intensities are scaled so that the largest is 100.

Structure:
Cell lengths 7.5742, 7.5742, 5.9912 Å; angles 100.77, 100.77, 114.33 degrees
Fractional positions:
1 Tb 0.0000 0.0000 0.0000
2 Tb 0.0196 0.2746 0.5901
3 Tb 0.1503 0.5706 0.1817
4 Tb 0.2746 0.0196 0.5901
5 Tb 0.4383 0.6931 0.7873
6 Tb 0.5706 0.1503 0.1817
7 Tb 0.6931 0.4383 0.7873
8 Tb 0.7128 0.7128 0.3583
9 Ru 0.3568 0.3568 0.0522
10 Rh 0.0446 0.6614 0.6798
11 Rh 0.6614 0.0446 0.6798

The 10 most intense peaks (2θ from 10° to 80°), in order of rising 2θ:
Position (°2θ)	d [Å]	intensity
27.03	3.299	32
30.67	2.915	46
30.96	2.888	52
32.34	2.768	100
33.71	2.659	52
34.88	2.572	25
35.32	2.541	26
36.61	2.454	37
38.93	2.313	46
54.74	1.677	31

Entry 3:
Calculated powder X-ray diffraction pattern
Compound: Tb4RuRh
Radiation: Cu Kα X-rays
Structure: DFT lattice parameters and positions (PBE)
Intensities are scaled so that the largest is 100.

Structure:
Cell lengths 7.9128, 7.9128, 6.3290 Å; angles 108.75, 108.75, 111.08 degrees
Fractional positions:
1 Tb 0.0446 0.6929 0.8988
2 Tb 0.2385 0.3680 0.7339
3 Tb 0.3071 0.9554 0.6012
4 Tb 0.3680 0.2385 0.2339
5 Tb 0.6320 0.7615 0.7661
6 Tb 0.6929 0.0446 0.3988
7 Tb 0.7615 0.6320 0.2661
8 Tb 0.9554 0.3071 0.1012
9 Ru 0.0015 0.9985 0.2500
10 Ru 0.9985 0.0015 0.7500
11 Rh 0.3642 0.6358 0.2500
12 Rh 0.6358 0.3642 0.7500

The 10 most intense peaks (2θ from 10° to 80°), in order of rising 2θ:
Position (°2θ)	d [Å]	intensity
26.86	3.319	30
30.93	2.891	88
32.38	2.765	100
34.18	2.624	64
35.87	2.504	48
36.53	2.460	32
37.19	2.418	39
39.10	2.304	36
39.62	2.275	50
42.25	2.139	49

Entry 4:
Calculated powder X-ray diffraction pattern
Compound: Tb4RuRh
Radiation: Cu Kα X-rays
Structure: DFT lattice parameters and positions (PBE)
Intensities are scaled so that the largest is 100.

Structure:
Cell lengths 6.8312, 6.8361, 6.8372 Å; angles 90.00, 90.76, 90.00 degrees
Fractional positions:
1 Tb 0.1608 0.1636 0.1667
2 Tb 0.1608 0.3364 0.6667
3 Tb 0.3342 0.6632 0.1597
4 Tb 0.3342 0.8368 0.6597
5 Tb 0.6658 0.1632 0.3403
6 Tb 0.6658 0.3368 0.8403
7 Tb 0.8392 0.6636 0.3333
8 Tb 0.8392 0.8364 0.8333
9 Ru 0.0000 0.0000 0.5000
10 Ru 0.0000 0.5000 0.0000
11 Rh 0.5000 0.0000 0.0000
12 Rh 0.5000 0.5000 0.5000

The 10 most intense peaks (2θ from 10° to 80°), in order of rising 2θ:
Position (°2θ)	d [Å]	intensity
29.06	3.073	23
29.22	3.056	100
29.37	3.041	27
31.96	2.801	33
32.20	2.780	30
37.21	2.416	27
43.78	2.068	21
44.11	2.053	20
49.80	1.831	23
50.05	1.822	23

Please write out number 2 again, unchanged.
Calculated powder X-ray diffraction pattern
Compound: Tb8RuRh2
Radiation: Cu Kα X-rays
Structure: DFT lattice parameters and positions (PBE)
Intensities are scaled so that the largest is 100.

Structure:
Cell lengths 7.5742, 7.5742, 5.9912 Å; angles 100.77, 100.77, 114.33 degrees
Fractional positions:
1 Tb 0.0000 0.0000 0.0000
2 Tb 0.0196 0.2746 0.5901
3 Tb 0.1503 0.5706 0.1817
4 Tb 0.2746 0.0196 0.5901
5 Tb 0.4383 0.6931 0.7873
6 Tb 0.5706 0.1503 0.1817
7 Tb 0.6931 0.4383 0.7873
8 Tb 0.7128 0.7128 0.3583
9 Ru 0.3568 0.3568 0.0522
10 Rh 0.0446 0.6614 0.6798
11 Rh 0.6614 0.0446 0.6798

The 10 most intense peaks (2θ from 10° to 80°), in order of rising 2θ:
Position (°2θ)	d [Å]	intensity
27.03	3.299	32
30.67	2.915	46
30.96	2.888	52
32.34	2.768	100
33.71	2.659	52
34.88	2.572	25
35.32	2.541	26
36.61	2.454	37
38.93	2.313	46
54.74	1.677	31

Please write out number 4 again, unchanged.
Calculated powder X-ray diffraction pattern
Compound: Tb4RuRh
Radiation: Cu Kα X-rays
Structure: DFT lattice parameters and positions (PBE)
Intensities are scaled so that the largest is 100.

Structure:
Cell lengths 6.8312, 6.8361, 6.8372 Å; angles 90.00, 90.76, 90.00 degrees
Fractional positions:
1 Tb 0.1608 0.1636 0.1667
2 Tb 0.1608 0.3364 0.6667
3 Tb 0.3342 0.6632 0.1597
4 Tb 0.3342 0.8368 0.6597
5 Tb 0.6658 0.1632 0.3403
6 Tb 0.6658 0.3368 0.8403
7 Tb 0.8392 0.6636 0.3333
8 Tb 0.8392 0.8364 0.8333
9 Ru 0.0000 0.0000 0.5000
10 Ru 0.0000 0.5000 0.0000
11 Rh 0.5000 0.0000 0.0000
12 Rh 0.5000 0.5000 0.5000

The 10 most intense peaks (2θ from 10° to 80°), in order of rising 2θ:
Position (°2θ)	d [Å]	intensity
29.06	3.073	23
29.22	3.056	100
29.37	3.041	27
31.96	2.801	33
32.20	2.780	30
37.21	2.416	27
43.78	2.068	21
44.11	2.053	20
49.80	1.831	23
50.05	1.822	23

Please write out number 2 again, unchanged.
Calculated powder X-ray diffraction pattern
Compound: Tb8RuRh2
Radiation: Cu Kα X-rays
Structure: DFT lattice parameters and positions (PBE)
Intensities are scaled so that the largest is 100.

Structure:
Cell lengths 7.5742, 7.5742, 5.9912 Å; angles 100.77, 100.77, 114.33 degrees
Fractional positions:
1 Tb 0.0000 0.0000 0.0000
2 Tb 0.0196 0.2746 0.5901
3 Tb 0.1503 0.5706 0.1817
4 Tb 0.2746 0.0196 0.5901
5 Tb 0.4383 0.6931 0.7873
6 Tb 0.5706 0.1503 0.1817
7 Tb 0.6931 0.4383 0.7873
8 Tb 0.7128 0.7128 0.3583
9 Ru 0.3568 0.3568 0.0522
10 Rh 0.0446 0.6614 0.6798
11 Rh 0.6614 0.0446 0.6798

The 10 most intense peaks (2θ from 10° to 80°), in order of rising 2θ:
Position (°2θ)	d [Å]	intensity
27.03	3.299	32
30.67	2.915	46
30.96	2.888	52
32.34	2.768	100
33.71	2.659	52
34.88	2.572	25
35.32	2.541	26
36.61	2.454	37
38.93	2.313	46
54.74	1.677	31